# 1
Structure and theoretical powder diffractogram of CsSnAu3Se4 (a cell relaxed with PBE; Cu Kα X-rays).

Cell lengths 6.354, 7.979, 11.087 Å; angles 90.00, 100.44, 90.00 degrees
Sites, in units of the cell vectors:
Cs1 0.226 0.250 0.359
Cs2 0.774 0.750 0.641
Sn1 0.097 0.250 0.777
Sn2 0.903 0.750 0.223
Au1 0.360 0.562 0.079
Au2 0.360 0.938 0.079
Au3 0.484 0.750 0.319
Au4 0.516 0.250 0.681
Au5 0.640 0.062 0.921
Au6 0.640 0.438 0.921
Se1 0.041 0.750 0.011
Se2 0.169 0.750 0.425
Se3 0.320 0.526 0.769
Se4 0.320 0.974 0.769
Se5 0.680 0.026 0.231
Se6 0.680 0.474 0.231
Se7 0.831 0.250 0.575
Se8 0.959 0.250 0.989

Main lines, most intense first (15° ≤ 2θ ≤ 90°):
2θ (°)  I_rel
23.7  100.0
30.6  99.2
26.0  97.4
41.3  85.3
32.6  85.0
27.0  77.9
33.4  77.3
30.4  63.4
18.7  56.1
46.6  55.1

---

# 2
Structure and theoretical powder diffractogram of NaPr6IrI12 (a cell relaxed with PBE; Cu Kα X-rays).

Cell lengths 10.106, 10.106, 10.106 Å; angles 107.19, 107.19, 107.19 degrees
Sites, in units of the cell vectors:
Na1 0.000 0.000 0.000
Pr1 0.190 0.468 0.396
Pr2 0.396 0.190 0.468
Pr3 0.468 0.396 0.190
Pr4 0.532 0.604 0.810
Pr5 0.604 0.810 0.532
Pr6 0.810 0.532 0.604
Ir1 0.500 0.500 0.500
I1 0.042 0.121 0.350
I2 0.121 0.350 0.042
I3 0.184 0.576 0.727
I4 0.273 0.816 0.424
I5 0.350 0.042 0.121
I6 0.424 0.273 0.816
I7 0.576 0.727 0.184
I8 0.650 0.958 0.879
I9 0.727 0.184 0.576
I10 0.816 0.424 0.273
I11 0.879 0.650 0.958
I12 0.958 0.879 0.650

Main lines, most intense first (15° ≤ 2θ ≤ 90°):
2θ (°)  I_rel
27.8  100.0
39.6  37.1
40.0  36.2
49.4  18.7
24.1  17.6
65.3  14.9
64.9  14.6
57.5  13.8
72.3  10.4
47.1  9.0

---

# 3
Structure and theoretical powder diffractogram of K2Hf2Pb2O7 (a cell relaxed with PBE; Cu Kα X-rays).

Cell lengths 6.102, 6.102, 8.121 Å; angles 90.00, 90.00, 120.00 degrees
Sites, in units of the cell vectors:
K1 0.333 0.667 0.426
K2 0.667 0.333 0.574
Hf1 0.000 0.000 0.240
Hf2 0.000 0.000 0.760
Pb1 0.333 0.667 0.856
Pb2 0.667 0.333 0.144
O1 0.000 0.000 0.000
O2 0.095 0.752 0.693
O3 0.248 0.343 0.693
O4 0.343 0.095 0.307
O5 0.657 0.905 0.693
O6 0.752 0.657 0.307
O7 0.905 0.248 0.307

Main lines, most intense first (15° ≤ 2θ ≤ 90°):
2θ (°)  I_rel
29.3  100.0
27.7  84.8
20.0  55.6
40.7  33.8
51.0  33.4
48.0  24.0
51.9  23.6
21.9  21.5
44.8  20.9
36.8  20.5

---

# 4
Structure and theoretical powder diffractogram of TlZnSF (a cell relaxed with PBE; Cu Kα X-rays).

Cell lengths 10.245, 19.270, 3.885 Å; angles 90.00, 90.00, 90.00 degrees
Sites, in units of the cell vectors:
Tl1 0.140 0.224 0.000
Tl2 0.223 0.034 0.000
Tl3 0.277 0.534 0.000
Tl4 0.360 0.724 0.000
Tl5 0.640 0.276 0.000
Tl6 0.723 0.466 0.000
Tl7 0.777 0.966 0.000
Tl8 0.860 0.776 0.000
Zn1 0.028 0.377 0.500
Zn2 0.163 0.883 0.500
Zn3 0.337 0.383 0.500
Zn4 0.472 0.877 0.500
Zn5 0.528 0.123 0.500
Zn6 0.663 0.617 0.500
Zn7 0.837 0.117 0.500
Zn8 0.972 0.623 0.500
S1 0.057 0.898 0.000
S2 0.067 0.652 0.000
S3 0.433 0.152 0.000
S4 0.443 0.398 0.000
S5 0.557 0.602 0.000
S6 0.567 0.848 0.000
S7 0.933 0.348 0.000
S8 0.943 0.102 0.000
F1 0.169 0.451 0.500
F2 0.198 0.311 0.500
F3 0.302 0.811 0.500
F4 0.331 0.951 0.500
F5 0.669 0.049 0.500
F6 0.698 0.189 0.500
F7 0.802 0.689 0.500
F8 0.831 0.549 0.500

Main lines, most intense first (15° ≤ 2θ ≤ 90°):
2θ (°)  I_rel
29.2  100.0
26.2  72.6
29.5  72.5
17.9  44.0
37.4  41.2
25.4  39.8
43.3  39.5
32.1  38.1
22.9  37.6
42.3  37.4

---

# 5
Structure and theoretical powder diffractogram of KMo8 (a cell relaxed with PBE; Cu Kα X-rays).

Cell lengths 10.432, 10.397, 5.962 Å; angles 73.69, 73.05, 33.26 degrees
Sites, in units of the cell vectors:
K1 0.125 0.125 0.125
K2 0.875 0.875 0.875
Mo1 0.048 0.613 0.417
Mo2 0.200 0.746 0.300
Mo3 0.254 0.800 0.745
Mo4 0.255 0.300 0.746
Mo5 0.300 0.255 0.200
Mo6 0.387 0.952 0.579
Mo7 0.417 0.421 0.048
Mo8 0.421 0.417 0.613
Mo9 0.579 0.583 0.387
Mo10 0.583 0.579 0.952
Mo11 0.613 0.048 0.421
Mo12 0.700 0.745 0.800
Mo13 0.745 0.700 0.254
Mo14 0.746 0.200 0.255
Mo15 0.800 0.254 0.700
Mo16 0.952 0.387 0.583

Main lines, most intense first (15° ≤ 2θ ≤ 90°):
2θ (°)  I_rel
41.6  100.0
36.3  94.1
15.6  61.6
34.2  53.0
42.5  36.3
43.4  29.1
77.1  25.8
33.7  25.4
45.9  21.8
62.3  21.7

---

# 6
Structure and theoretical powder diffractogram of Hf3P4 (a cell relaxed with PBE; Cu Kα X-rays).

Cell lengths 6.769, 6.769, 6.769 Å; angles 109.47, 109.47, 109.47 degrees
Sites, in units of the cell vectors:
Hf1 0.125 0.750 0.875
Hf2 0.250 0.625 0.375
Hf3 0.375 0.250 0.625
Hf4 0.625 0.375 0.250
Hf5 0.750 0.875 0.125
Hf6 0.875 0.125 0.750
P1 0.000 0.341 0.500
P2 0.000 0.841 0.500
P3 0.159 0.159 0.159
P4 0.341 0.500 0.000
P5 0.500 0.000 0.341
P6 0.500 0.000 0.841
P7 0.659 0.659 0.659
P8 0.841 0.500 0.000

Main lines, most intense first (15° ≤ 2θ ≤ 90°):
2θ (°)  I_rel
28.0  100.0
36.3  71.4
43.3  45.7
52.3  34.0
74.9  29.6
60.4  26.3
55.1  21.9
79.5  12.4
32.4  10.1
65.4  8.0

---

# 7
Structure and theoretical powder diffractogram of InCo2S3 (a cell relaxed with PBE; Cu Kα X-rays).

Cell lengths 6.551, 6.551, 6.426 Å; angles 99.37, 99.37, 119.97 degrees
Sites, in units of the cell vectors:
In1 0.092 0.908 0.500
In2 0.908 0.092 0.000
Co1 0.255 0.740 0.984
Co2 0.406 0.567 0.486
Co3 0.567 0.406 0.986
Co4 0.740 0.255 0.484
S1 0.123 0.576 0.623
S2 0.326 0.491 0.126
S3 0.491 0.326 0.626
S4 0.576 0.123 0.123
S5 0.742 0.946 0.583
S6 0.946 0.742 0.083

Main lines, most intense first (15° ≤ 2θ ≤ 90°):
2θ (°)  I_rel
29.0  100.0
48.1  53.9
29.4  53.1
28.8  50.7
48.9  36.1
57.0  26.3
57.7  25.1
33.6  23.0
48.3  18.3
57.4  12.7

---

# 8
Structure and theoretical powder diffractogram of Gd2HoAl3AgGe2 (a cell relaxed with PBE; Cu Kα X-rays).

Cell lengths 4.288, 7.078, 7.078 Å; angles 119.90, 90.00, 90.00 degrees
Sites, in units of the cell vectors:
Gd1 0.000 0.206 0.794
Gd2 0.000 0.794 0.206
Ho1 0.000 0.620 0.620
Al1 0.500 0.208 0.447
Al2 0.500 0.447 0.208
Al3 0.500 0.968 0.968
Ag1 0.000 0.211 0.211
Ge1 0.500 0.541 0.871
Ge2 0.500 0.871 0.541

Main lines, most intense first (15° ≤ 2θ ≤ 90°):
2θ (°)  I_rel
36.0  100.0
32.8  81.8
29.1  32.1
25.2  31.0
20.7  30.6
42.2  26.8
38.8  23.1
44.4  21.9
44.3  21.9
58.3  17.9

---

# 9
Structure and theoretical powder diffractogram of CdH6C2I2N2O2 (a cell relaxed with PBE; Cu Kα X-rays).

Cell lengths 4.111, 7.599, 8.214 Å; angles 116.31, 94.80, 94.29 degrees
Sites, in units of the cell vectors:
Cd1 0.000 0.000 0.000
H1 0.131 0.870 0.539
H2 0.206 0.678 0.139
H3 0.285 0.644 0.404
H4 0.715 0.356 0.596
H5 0.794 0.322 0.861
H6 0.869 0.130 0.461
C1 0.139 0.795 0.266
C2 0.861 0.205 0.734
I1 0.442 0.693 0.818
I2 0.558 0.307 0.182
N1 0.194 0.770 0.415
N2 0.806 0.230 0.585
O1 0.021 0.943 0.264
O2 0.979 0.057 0.736

Main lines, most intense first (15° ≤ 2θ ≤ 90°):
2θ (°)  I_rel
21.8  100.0
28.4  68.6
27.0  68.0
32.3  37.0
34.3  36.3
33.2  33.2
31.1  30.6
40.6  29.9
33.5  26.1
35.1  24.8